No. 1
# SmAl3Pb2O8
Computed powder diffraction line list, CuKα. Input: the PBE geometry in OQMD.
Intensities are scaled so that the largest is 100.

Most intense lines, 2θ = 10–80°, in order of rising 2θ:
- 6.711 Å, 2θ 13.2, rel. 70
- 3.164 Å, 2θ 28.2, rel. 100
- 3.001 Å, 2θ 29.8, rel. 76
- 2.862 Å, 2θ 31.3, rel. 64
- 2.237 Å, 2θ 40.3, rel. 46
- 1.861 Å, 2θ 48.9, rel. 28
- 1.826 Å, 2θ 49.9, rel. 36
- 1.678 Å, 2θ 54.7, rel. 38
- 1.652 Å, 2θ 55.6, rel. 26
- 1.628 Å, 2θ 56.5, rel. 22

Atomic structure:
```
56
Lattice="9.4906 0.0000 0.0000 0.0000 9.4906 0.0000 0.0000 0.0000 9.4906" Properties=species:S:1:pos:R:3 pbc="T T T"
Sm 0.0000 0.0000 0.0000
Sm 0.0000 4.7453 4.7453
Sm 4.7453 0.0000 4.7453
Sm 4.7453 4.7453 0.0000
Al 0.0000 2.3726 7.1179
Al 0.0000 7.1179 2.3726
Al 2.3726 0.0000 7.1179
Al 2.3726 4.7453 7.1179
Al 2.3726 7.1179 0.0000
Al 2.3726 7.1179 4.7453
Al 4.7453 2.3726 7.1179
Al 4.7453 7.1179 2.3726
Al 7.1179 0.0000 2.3726
Al 7.1179 2.3726 0.0000
Al 7.1179 2.3726 4.7453
Al 7.1179 4.7453 2.3726
Pb 1.0946 1.0946 3.6507
Pb 1.0946 3.6507 1.0946
Pb 3.6507 1.0946 1.0946
Pb 3.6507 3.6507 3.6507
Pb 5.8399 5.8399 5.8399
Pb 5.8399 8.3960 8.3960
Pb 8.3960 5.8399 8.3960
Pb 8.3960 8.3960 5.8399
O 0.8686 0.8686 7.2433
O 0.8686 3.8767 6.9925
O 0.8686 6.9925 3.8767
O 0.8686 7.2433 0.8686
O 1.3269 1.3269 1.3269
O 1.3269 3.4184 3.4184
O 2.2472 5.6139 5.6139
O 2.2472 8.6220 8.6220
O 2.4980 5.6139 8.6220
O 2.4980 8.6220 5.6139
O 3.4184 1.3269 3.4184
O 3.4184 3.4184 1.3269
O 3.8767 0.8686 6.9925
O 3.8767 3.8767 7.2433
O 3.8767 6.9925 0.8686
O 3.8767 7.2433 3.8767
O 5.6139 2.2472 5.6139
O 5.6139 2.4980 8.6220
O 5.6139 5.6139 2.2472
O 5.6139 8.6220 2.4980
O 6.0721 6.0721 8.1637
O 6.0721 8.1637 6.0721
O 6.9925 0.8686 3.8767
O 6.9925 3.8767 0.8686
O 7.2433 0.8686 0.8686
O 7.2433 3.8767 3.8767
O 8.1637 6.0721 6.0721
O 8.1637 8.1637 8.1637
O 8.6220 2.2472 8.6220
O 8.6220 2.4980 5.6139
O 8.6220 5.6139 2.4980
O 8.6220 8.6220 2.2472
```

=====

No. 2
# Pm4Al4O11
Computed powder diffraction line list, CuKα. Input: the PBE geometry in OQMD.
Intensities are scaled so that the largest is 100.

Most intense lines, 2θ = 10–80°, in order of rising 2θ:
- 3.747 Å, 2θ 23.7, rel. 44
- 3.717 Å, 2θ 23.9, rel. 19
- 2.656 Å, 2θ 33.8, rel. 18
- 2.640 Å, 2θ 34.0, rel. 100
- 2.161 Å, 2θ 41.8, rel. 22
- 2.154 Å, 2θ 41.9, rel. 22
- 1.876 Å, 2θ 48.5, rel. 12
- 1.530 Å, 2θ 60.5, rel. 17
- 1.525 Å, 2θ 60.7, rel. 15
- 1.521 Å, 2θ 60.9, rel. 16

Atomic structure:
```
19
Lattice="5.2879 0.0000 0.0000 0.0000 7.4331 0.0000 -0.0135 0.0000 5.3113" Properties=species:S:1:pos:R:3 pbc="T T T"
Pm 0.0000 0.0000 0.0000
Pm 0.1820 3.7166 0.0188
Pm 2.6253 0.0000 2.6796
Pm 2.8255 3.7166 2.6322
Al 0.0815 1.8363 2.6609
Al 0.0815 5.5969 2.6609
Al 2.7193 1.8468 5.3102
Al 2.7193 5.5864 5.3102
O 0.0653 3.7166 2.9932
O 1.3039 1.5955 4.0761
O 1.3039 5.8377 4.0761
O 1.4968 2.0822 1.4194
O 1.4968 5.3510 1.4194
O 2.6691 3.7166 4.9785
O 2.7811 0.0000 0.3364
O 3.9501 1.6231 3.8898
O 3.9501 5.8100 3.8898
O 4.1504 2.1052 1.2363
O 4.1504 5.3280 1.2363
```

=====

No. 3
# Pm4Al4O11
Computed powder diffraction line list, CuKα. Input: the PBE geometry in OQMD.
Intensities are scaled so that the largest is 100.

Most intense lines, 2θ = 10–80°, in order of rising 2θ:
- 3.748 Å, 2θ 23.7, rel. 79
- 3.716 Å, 2θ 23.9, rel. 32
- 2.651 Å, 2θ 33.8, rel. 100
- 2.641 Å, 2θ 33.9, rel. 36
- 2.631 Å, 2θ 34.1, rel. 72
- 2.164 Å, 2θ 41.7, rel. 38
- 1.877 Å, 2θ 48.5, rel. 22
- 1.870 Å, 2θ 48.7, rel. 21
- 1.858 Å, 2θ 49.0, rel. 21
- 1.528 Å, 2θ 60.6, rel. 36

Atomic structure:
```
19
Lattice="5.2592 0.0000 0.0000 -0.0551 5.3067 0.0000 -0.0319 -0.0030 7.4810" Properties=species:S:1:pos:R:3 pbc="T T T"
Pm 0.0000 0.0000 0.0000
Pm 0.1018 0.0510 3.7155
Pm 2.5363 2.7143 7.4666
Pm 2.6913 2.6546 3.7079
Al -0.0069 2.6823 5.5885
Al 0.0248 2.6894 1.8480
Al 2.6612 0.0171 1.8464
Al 2.6554 0.0285 5.5906
O 0.0064 2.3616 7.4640
O 0.0236 3.0228 3.7103
O 1.1940 4.1084 5.8677
O 1.3722 1.3794 2.0648
O 1.4267 1.4561 5.3528
O 2.5424 4.9913 3.7097
O 2.6715 0.3450 7.4658
O 3.8259 3.9093 5.8164
O 3.9122 3.9744 1.6171
O 4.0071 1.3181 2.1185
O 4.0547 1.2576 5.3092
```

=====

No. 4
# AlReO6
Computed powder diffraction line list, CuKα. Input: the PBE geometry in OQMD.
Intensities are scaled so that the largest is 100.

Most intense lines, 2θ = 10–80°, in order of rising 2θ:
- 4.134 Å, 2θ 21.5, rel. 100
- 3.580 Å, 2θ 24.9, rel. 61
- 2.531 Å, 2θ 35.5, rel. 42
- 2.159 Å, 2θ 41.8, rel. 60
- 1.790 Å, 2θ 51.0, rel. 21
- 1.643 Å, 2θ 56.0, rel. 28
- 1.601 Å, 2θ 57.6, rel. 23
- 1.462 Å, 2θ 63.7, rel. 17
- 1.378 Å, 2θ 68.0, rel. 18
- 1.210 Å, 2θ 79.1, rel. 18

Atomic structure:
```
8
Lattice="0.0000 3.5800 3.5800 3.5800 0.0000 3.5800 3.5800 3.5800 0.0000" Properties=species:S:1:pos:R:3 pbc="T T T"
Al 0.0000 0.0000 0.0000
Re 5.3700 5.3700 5.3700
O 1.7900 1.7900 0.0791
O 1.7900 0.0791 1.7900
O 3.5009 1.7900 1.7900
O 0.0791 1.7900 1.7900
O 1.7900 3.5009 1.7900
O 1.7900 1.7900 3.5009
```

=====

No. 5
# Sm4Al4O11
Computed powder diffraction line list, CuKα. Input: the PBE geometry in OQMD.
Intensities are scaled so that the largest is 100.

Most intense lines, 2θ = 10–80°, in order of rising 2θ:
- 3.741 Å, 2θ 23.8, rel. 77
- 3.715 Å, 2θ 24.0, rel. 31
- 2.645 Å, 2θ 33.9, rel. 95
- 2.634 Å, 2θ 34.0, rel. 100
- 2.157 Å, 2θ 41.9, rel. 52
- 1.873 Å, 2θ 48.6, rel. 19
- 1.868 Å, 2θ 48.7, rel. 20
- 1.857 Å, 2θ 49.0, rel. 19
- 1.526 Å, 2θ 60.7, rel. 27
- 1.522 Å, 2θ 60.9, rel. 26

Atomic structure:
```
19
Lattice="5.2658 0.0000 0.0000 0.0458 5.2861 0.0000 0.0176 0.0019 7.4726" Properties=species:S:1:pos:R:3 pbc="T T T"
Sm 0.0000 0.0000 0.0000
Sm 0.2860 5.2112 3.7620
Sm 2.6295 2.5667 0.0317
Sm 2.8944 2.6358 3.7830
Al 0.1297 2.5973 1.8979
Al 0.1560 2.5917 5.6378
Al 2.7874 5.2577 5.6361
Al 2.7850 5.2433 1.8940
O 0.1125 2.2426 3.7746
O 0.1672 2.9418 0.0274
O 1.2904 1.1384 1.6147
O 1.5736 3.8265 5.3900
O 1.5973 3.7817 2.1594
O 2.6753 0.3201 3.7743
O 2.8047 4.9121 0.0209
O 3.9311 1.4091 1.6471
O 3.9705 1.3878 5.8947
O 4.2144 4.0365 5.3608
O 4.2245 4.0520 2.1787
```

=====

No. 6
# AlZnSnO4
Computed powder diffraction line list, CuKα. Input: the PBE geometry in OQMD.
Intensities are scaled so that the largest is 100.

Most intense lines, 2θ = 10–80°, in order of rising 2θ:
- 4.981 Å, 2θ 17.8, rel. 16
- 3.871 Å, 2θ 23.0, rel. 35
- 3.038 Å, 2θ 29.4, rel. 26
- 2.617 Å, 2θ 34.3, rel. 100
- 2.571 Å, 2θ 34.9, rel. 52
- 2.490 Å, 2θ 36.1, rel. 23
- 2.175 Å, 2θ 41.5, rel. 17
- 1.672 Å, 2θ 54.9, rel. 32
- 1.538 Å, 2θ 60.2, rel. 22
- 1.519 Å, 2θ 61.0, rel. 43

Atomic structure:
```
28
Lattice="6.1508 0.0000 0.0000 0.0000 6.1508 0.0000 0.0000 0.0000 8.4894" Properties=species:S:1:pos:R:3 pbc="T T T"
Al 0.0000 1.4309 0.0000
Al 0.0000 4.7198 4.2447
Al 1.4309 0.0000 6.3670
Al 4.7198 0.0000 2.1223
Zn 1.5002 1.5002 3.1835
Zn 1.5002 4.6505 1.0612
Zn 4.6505 1.5002 5.3058
Zn 4.6505 4.6505 7.4282
Sn 1.4608 3.0754 6.3670
Sn 3.0754 1.4608 0.0000
Sn 3.0754 4.6900 4.2447
Sn 4.6900 3.0754 2.1223
O 0.0916 1.3711 6.5554
O 0.0916 4.7797 6.1786
O 1.3266 2.8651 0.0955
O 1.3266 3.2856 4.1491
O 1.3711 0.0916 8.3010
O 1.3711 6.0591 4.4331
O 2.8651 1.3266 6.2715
O 2.8651 4.8241 6.4626
O 3.2856 1.3266 2.2179
O 3.2856 4.8241 2.0268
O 4.7797 0.0916 0.1884
O 4.7797 6.0591 4.0563
O 4.8241 2.8651 8.3938
O 4.8241 3.2856 4.3402
O 6.0591 1.3711 1.9340
O 6.0591 4.7797 2.3107
```

=====

No. 7
# AlZnSnO4
Computed powder diffraction line list, CuKα. Input: the PBE geometry in OQMD.
Intensities are scaled so that the largest is 100.

Most intense lines, 2θ = 10–80°, in order of rising 2θ:
- 4.985 Å, 2θ 17.8, rel. 67
- 2.604 Å, 2θ 34.4, rel. 100
- 2.493 Å, 2θ 36.0, rel. 35
- 2.161 Å, 2θ 41.8, rel. 37
- 2.155 Å, 2θ 41.9, rel. 19
- 1.981 Å, 2θ 45.8, rel. 21
- 1.663 Å, 2θ 55.2, rel. 23
- 1.526 Å, 2θ 60.7, rel. 51
- 1.317 Å, 2θ 71.7, rel. 12
- 1.303 Å, 2θ 72.6, rel. 11

Atomic structure:
```
28
Lattice="6.1112 0.0000 0.0000 0.0000 6.1112 0.0000 0.0000 0.0000 8.6202" Properties=species:S:1:pos:R:3 pbc="T T T"
Al 1.4944 1.4944 3.2326
Al 1.4944 4.6168 1.0775
Al 4.6168 1.4944 5.3876
Al 4.6168 4.6168 7.5427
Zn 0.0000 1.4301 0.0000
Zn 0.0000 4.6811 4.3101
Zn 1.4301 0.0000 6.4652
Zn 4.6811 0.0000 2.1551
Sn 1.4400 3.0556 6.4652
Sn 3.0556 1.4400 0.0000
Sn 3.0556 4.6712 4.3101
Sn 4.6712 3.0556 2.1551
O 0.0565 1.4821 2.1276
O 0.0565 4.6291 2.1825
O 1.4503 3.0112 4.2249
O 1.4503 3.0999 0.0853
O 1.4821 0.0565 4.3376
O 1.4821 6.0546 8.5927
O 3.0112 1.4503 2.2403
O 3.0112 4.6609 2.0698
O 3.0999 1.4503 6.3799
O 3.0999 4.6609 6.5504
O 4.6291 0.0565 4.2826
O 4.6291 6.0546 0.0275
O 4.6609 3.0112 4.3954
O 4.6609 3.0999 8.5350
O 6.0546 1.4821 6.4926
O 6.0546 4.6291 6.4377
```

=====

No. 8
# AlZnSnO4
Computed powder diffraction line list, CuKα. Input: the PBE geometry in OQMD.
Intensities are scaled so that the largest is 100.

Most intense lines, 2θ = 10–80°, in order of rising 2θ:
- 3.051 Å, 2θ 29.3, rel. 33
- 3.031 Å, 2θ 29.5, rel. 66
- 2.599 Å, 2θ 34.5, rel. 100
- 2.574 Å, 2θ 34.9, rel. 49
- 1.758 Å, 2θ 52.0, rel. 26
- 1.746 Å, 2θ 52.4, rel. 13
- 1.660 Å, 2θ 55.3, rel. 33
- 1.640 Å, 2θ 56.1, rel. 17
- 1.526 Å, 2θ 60.7, rel. 18
- 1.515 Å, 2θ 61.2, rel. 37

Atomic structure:
```
28
Lattice="6.1024 0.0000 0.0000 0.0000 6.1024 0.0000 0.0000 0.0000 8.5150" Properties=species:S:1:pos:R:3 pbc="T T T"
Al 0.0000 1.4375 0.0000
Al 0.0000 4.6649 4.2575
Al 1.4375 0.0000 6.3863
Al 4.6649 0.0000 2.1288
Zn 1.4750 3.0512 6.3863
Zn 3.0512 1.4750 0.0000
Zn 3.0512 4.6273 4.2575
Zn 4.6273 3.0512 2.1288
Sn 1.5930 1.5930 3.1931
Sn 1.5930 4.5094 1.0644
Sn 4.5094 1.5930 5.3219
Sn 4.5094 4.5094 7.4506
O 0.0726 1.3669 6.5840
O 0.0726 4.7355 6.1885
O 1.3669 0.0726 8.3173
O 1.3669 6.0298 4.4552
O 1.3736 2.7513 8.4474
O 1.3736 3.3510 4.3251
O 2.7513 1.3736 6.4539
O 2.7513 4.7288 6.3187
O 3.3510 1.3736 2.0612
O 3.3510 4.7288 2.1963
O 4.7288 2.7513 0.0676
O 4.7288 3.3510 4.1899
O 4.7355 0.0726 0.1977
O 4.7355 6.0298 4.0598
O 6.0298 1.3669 1.9310
O 6.0298 4.7355 2.3265
```

=====

No. 9
# Tb4Al4O11
Computed powder diffraction line list, CuKα. Input: the PBE geometry in OQMD.
Intensities are scaled so that the largest is 100.

Most intense lines, 2θ = 10–80°, in order of rising 2θ:
- 3.717 Å, 2θ 23.9, rel. 59
- 3.679 Å, 2θ 24.2, rel. 28
- 3.318 Å, 2θ 26.9, rel. 16
- 2.661 Å, 2θ 33.7, rel. 19
- 2.615 Å, 2θ 34.3, rel. 100
- 2.598 Å, 2θ 34.5, rel. 24
- 2.156 Å, 2θ 41.9, rel. 20
- 2.122 Å, 2θ 42.6, rel. 26
- 1.636 Å, 2θ 56.2, rel. 16
- 1.503 Å, 2θ 61.7, rel. 22

Atomic structure:
```
19
Lattice="5.1951 0.0000 0.0000 0.0000 7.3576 0.0000 -0.0130 0.0000 5.3211" Properties=species:S:1:pos:R:3 pbc="T T T"
Tb 0.0000 0.0000 0.0000
Tb 0.0900 3.6788 0.5131
Tb 2.5924 3.6788 3.1998
Tb 2.6941 0.0000 2.6510
Al 0.0478 1.8491 2.9197
Al 0.0478 5.5085 2.9197
Al 2.6490 1.8750 0.2663
Al 2.6490 5.4826 0.2663
O 0.4519 0.0000 3.0233
O 1.1291 2.1576 4.4685
O 1.1291 5.2000 4.4685
O 1.5616 2.1457 1.8130
O 1.5616 5.2119 1.8130
O 2.2397 0.0000 0.3579
O 3.7272 1.5498 4.0336
O 3.7272 5.8078 4.0336
O 4.1646 1.5430 1.3647
O 4.1646 5.8147 1.3647
O 4.8258 3.6788 2.8182
```

=====

No. 10
# Tb4Al4O11
Computed powder diffraction line list, CuKα. Input: the PBE geometry in OQMD.
Intensities are scaled so that the largest is 100.

Most intense lines, 2θ = 10–80°, in order of rising 2θ:
- 3.722 Å, 2θ 23.9, rel. 51
- 3.701 Å, 2θ 24.0, rel. 100
- 2.649 Å, 2θ 33.8, rel. 37
- 2.625 Å, 2θ 34.2, rel. 81
- 2.617 Å, 2θ 34.3, rel. 87
- 2.599 Å, 2θ 34.5, rel. 43
- 2.154 Å, 2θ 41.9, rel. 36
- 2.127 Å, 2θ 42.5, rel. 44
- 1.851 Å, 2θ 49.2, rel. 45
- 1.508 Å, 2θ 61.5, rel. 29

Atomic structure:
```
19
Lattice="5.1987 0.0000 0.0000 0.0332 5.2971 0.0000 0.0099 0.0095 7.4060" Properties=species:S:1:pos:R:3 pbc="T T T"
Tb 0.0000 0.0000 0.0000
Tb 0.1157 0.5024 3.7084
Tb 2.6095 3.1445 3.7484
Tb 2.7349 2.6570 0.0208
Al 0.0778 2.9051 1.8658
Al 0.1001 2.8860 5.5635
Al 2.6531 0.2695 5.5664
Al 2.6607 0.2563 1.8698
O 0.4982 2.9860 0.0087
O 1.1865 4.4374 2.1746
O 1.1886 4.4409 5.2546
O 1.5800 1.7949 2.2016
O 2.2331 0.3663 0.0081
O 3.0589 0.1807 3.7241
O 3.7815 4.0210 5.8803
O 3.7823 4.0256 1.5414
O 4.1671 1.3784 5.8693
O 4.1794 1.3647 1.5462
O 4.8580 2.8171 3.7140
```